# Li2AcTl5
Computed powder X-ray diffraction pattern, CuKα. Input: a crystal structure in Alexandria, relaxed with GGA-PBE.
Neutral-atom scattering factors, no anomalous dispersion.

a b c (Å): 7.4948 7.4948 7.4948
angles (deg): 144.46 117.10 74.37
Element x y z (fractional)
Li (0.2325, 0.2325, 0.0000)
Li (0.7675, 0.7675, 0.0000)
Ac (0.5000, 0.0000, 0.5000)
Tl (0.0000, 0.0000, 0.0000)
Tl (0.0629, 0.3547, 0.7082)
Tl (0.3535, 0.6453, 0.7082)
Tl (0.6465, 0.3547, 0.2918)
Tl (0.9371, 0.6453, 0.2918)

Peak list (10 most intense, 15 to 90 degrees two-theta, sorted by position)
- 27.3°, I = 32
- 29.8°, I = 100
- 31.0°, I = 97
- 37.9°, I = 43
- 39.4°, I = 27
- 48.6°, I = 14
- 55.8°, I = 28
- 56.1°, I = 16
- 62.8°, I = 28
- 89.8°, I = 11